Theoretical powder diffractogram of AcPaCo2O6 for Cu Kα (weighted mean of Kα1 and Kα2), from a structure optimized by DFT (GGA+U).

Structural model:
```
AcPaCo2O6
1.0
2.763 1.595 5.919
-2.763 1.595 5.919
0.000 -3.191 5.919
Ac Pa Co O
1 1 2 6
Cartesian
0.000 0.000 0.000
0.000 0.000 8.879
0.000 0.000 3.272
0.000 0.000 14.486
-1.875 0.070 7.731
-0.999 -1.589 10.027
0.877 -1.659 7.731
-0.877 1.659 10.027
0.999 1.589 7.731
1.875 -0.070 10.027
```

The 10 most intense peaks (15 to 90 degrees two-theta), sorted by position:
two_theta  Rel. int.
21.09  100
27.40  76
30.20  23
32.40  72
38.98  21
42.94  25
44.88  74
51.56  20
54.80  24
57.80  22